Theoretical X-ray powder pattern
Compound: CsFeCuF6
Radiation: Cu Kα (weighted mean of Kα1 and Kα2)
Structure: a structure optimized by DFT (PBE+U)
Peak positions follow from Bragg's law for the DFT cell and can differ from measured ones.

Crystal structure
a = 7.4668 Å, b = 7.4668 Å, c = 7.4668 Å
α = 121.70°, β = 119.31°, γ = 89.14°
Atoms (fractional coordinates):
Cs  0.3679  0.1179  0.2500
Cs  0.6321  0.8821  0.7500
Fe  0.0000  0.5000  0.5000
Fe  0.5000  0.5000  0.0000
Cu  0.0000  0.0000  0.5000
Cu  0.0000  0.5000  0.0000
F  0.0662  0.8162  0.2500
F  0.0723  0.4285  0.2580
F  0.0723  0.8143  0.6438
F  0.3118  0.5618  0.7500
F  0.3295  0.1857  0.7580
F  0.3295  0.5715  0.1438
F  0.6705  0.4285  0.8562
F  0.6705  0.8143  0.2420
F  0.6882  0.4382  0.2500
F  0.9277  0.1857  0.3562
F  0.9277  0.5715  0.7420
F  0.9338  0.1838  0.7500

Largest 6 diffraction maxima, low angle first, 5° ≤ 2θ ≤ 70°:
2theta	d [Å]	intensity
23.8	3.732	47
27.8	3.209	44
27.9	3.192	100
28.5	3.131	65
44.2	2.051	26
48.8	1.866	51